This entry pairs a crystal structure of LiHoW2O8 with its computed X-ray diffraction stick pattern. Radiation: copper Kα. Structure: a cell relaxed with GGA+U.
Peak positions follow from Bragg's law for the DFT cell and can differ from measured ones.

Largest 8 diffraction maxima, by angle, 10 to 90 degrees two-theta:
two_theta	I_rel
17.73	33
22.97	29
23.19	57
28.70	100
29.63	89
34.84	41
35.32	29
49.25	30

Structure:
```
LiHoW2O8
1.0
5.0867 0.0000 0.0000
0.0000 5.9748 0.0000
-4.6635 0.0000 10.0023
Li Ho W O
2 2 4 16
Direct
0.0000 0.2339 0.2500
0.0000 0.7661 0.7500
0.5000 0.1674 0.7500
0.5000 0.8326 0.2500
0.2631 0.3295 0.0106
0.2631 0.6705 0.5106
0.7369 0.3295 0.4894
0.7369 0.6705 0.9894
0.1599 0.3902 0.5986
0.1599 0.6098 0.0986
0.2338 0.1369 0.1332
0.2338 0.8631 0.6332
0.2774 0.1344 0.8857
0.2774 0.8656 0.3857
0.3386 0.4075 0.3913
0.3386 0.5925 0.8913
0.6614 0.4075 0.1087
0.6614 0.5925 0.6087
0.7226 0.1344 0.6143
0.7226 0.8656 0.1143
0.7662 0.1369 0.3668
0.7662 0.8631 0.8668
0.8401 0.3902 0.9014
0.8401 0.6098 0.4014
```